This entry pairs a crystal structure of TmH9C5N2O8 with its computed powder diffraction line list. Radiation: Cu Kα. Structure: DFT lattice parameters and positions (GGA-PBE).
No peak broadening, texture or thermal motion is included.

Top 12 peaks for 10 to 80 degrees two-theta, sorted by position:
| 2θ/deg | d/Å | intensity | index |
| --- | --- | --- | --- |
| 14.3 | 6.182 | 45 | 0 0 1 |
| 14.8 | 5.982 | 100 | 1 1 0 |
| 16.7 | 5.298 | 31 | 2 0 0 |
| 18.0 | 4.915 | 23 | 2 0 -1 |
| 18.6 | 4.772 | 50 | 1 1 -1 |
| 22.5 | 3.943 | 39 | 1 1 1 |
| 28.1 | 3.175 | 27 | 3 1 0 |
| 29.9 | 2.988 | 42 | 2 2 0 |
| 30.7 | 2.917 | 17 | 2 2 -1 |
| 33.9 | 2.648 | 20 | 3 1 -2 |
| 35.7 | 2.513 | 19 | 2 2 1 |
| 38.3 | 2.352 | 19 | 0 2 2 |

Cell lengths 11.2422, 7.2473, 6.5584 Å; angles 90.00, 109.52, 90.00 degrees
Space group C2 (No. 5)
Asymmetric unit:
1 Tm 0.0000 0.0000 0.0000 (multiplicity 2)
2 H 0.0000 0.9184 0.5000 (multiplicity 2)
3 H 0.0074 0.5512 0.1722 (multiplicity 4)
4 H 0.1210 0.3896 0.4620 (multiplicity 4)
5 H 0.1824 0.3503 0.8786 (multiplicity 4)
6 H 0.2175 0.5793 0.5929 (multiplicity 4)
7 C 0.0000 0.0702 0.5000 (multiplicity 2)
8 C 0.0857 0.6249 0.2920 (multiplicity 4)
9 C 0.2368 0.2916 0.0388 (multiplicity 4)
10 N 0.1482 0.5242 0.4616 (multiplicity 4)
11 O 0.0055 0.1518 0.3313 (multiplicity 4)
12 O 0.1099 0.7904 0.2627 (multiplicity 4)
13 O 0.1496 0.8373 0.8737 (multiplicity 4)
14 O 0.1772 0.1804 0.1217 (multiplicity 4)